Record 1
Calculated X-ray diffraction stick pattern of Li9Mn2Co5O16 for a wavelength of 1.5418 Å, from the PBE+U geometry in the Materials Project.

abc: 4.993 6.022 9.874
angles: 86.08 77.95 86.19
Sites, in units of the cell vectors:
1 Li 0.000 0.000 0.000
2 Li 0.001 0.742 0.492
3 Li 0.495 0.747 0.998
4 Li 0.497 0.246 0.998
5 Li 0.499 0.000 0.488
6 Li 0.501 0.490 0.491
7 Li 0.749 0.245 0.245
8 Li 0.993 0.492 0.000
9 Li 0.998 0.247 0.492
10 Mn 0.249 0.742 0.744
11 Mn 0.747 0.999 0.745
12 Co 0.242 0.004 0.249
13 Co 0.247 0.248 0.745
14 Co 0.253 0.487 0.240
15 Co 0.748 0.493 0.745
16 Co 0.748 0.745 0.244
17 O 0.109 0.479 0.631
18 O 0.109 0.733 0.130
19 O 0.116 0.986 0.629
20 O 0.136 0.235 0.131
21 O 0.359 0.257 0.358
22 O 0.380 0.011 0.860
23 O 0.386 0.501 0.858
24 O 0.387 0.758 0.360
25 O 0.588 0.497 0.131
26 O 0.597 0.976 0.136
27 O 0.610 0.238 0.628
28 O 0.618 0.730 0.628
29 O 0.880 0.755 0.862
30 O 0.885 0.261 0.861
31 O 0.899 0.514 0.353
32 O 0.908 0.994 0.359

Top 10 peaks for 2θ = 10–80°, sorted by position:
| 2θ (°) | I_rel |
| --- | --- |
| 18.40 | 100 |
| 34.03 | 21 |
| 36.66 | 12 |
| 36.87 | 11 |
| 40.85 | 36 |
| 44.64 | 26 |
| 44.98 | 25 |
| 61.86 | 8 |
| 62.16 | 8 |
| 62.34 | 8 |

Record 2
Calculated X-ray diffraction stick pattern of Li3V6O16 for a wavelength of 1.5418 Å, from the PBE+U geometry in the Materials Project.

abc: 6.782 3.658 12.032
angles: 90.00 105.01 90.00
Sites, in units of the cell vectors:
1 Li 0.000 0.000 0.000
2 Li 0.290 0.000 0.370
3 Li 0.658 0.500 0.734
4 V 0.167 0.500 0.588
5 V 0.211 0.500 0.853
6 V 0.353 0.500 0.135
7 V 0.591 0.000 0.972
8 V 0.740 0.000 0.250
9 V 0.780 0.000 0.516
10 O 0.082 0.000 0.592
11 O 0.140 0.500 0.007
12 O 0.245 0.500 0.242
13 O 0.286 0.000 0.880
14 O 0.297 0.500 0.490
15 O 0.346 0.500 0.724
16 O 0.419 0.000 0.122
17 O 0.518 0.500 0.980
18 O 0.603 0.000 0.380
19 O 0.650 0.000 0.614
20 O 0.656 0.500 0.225
21 O 0.715 0.000 0.870
22 O 0.799 0.000 0.096
23 O 0.865 0.500 0.513
24 O 0.972 0.500 0.774
25 O 0.976 0.000 0.330

Top 10 peaks for 2θ = 10–80°, sorted by position:
| 2θ (°) | I_rel |
| --- | --- |
| 13.69 | 100 |
| 22.96 | 20 |
| 27.23 | 17 |
| 27.94 | 80 |
| 30.23 | 44 |
| 40.40 | 25 |
| 41.40 | 22 |
| 49.86 | 23 |
| 55.73 | 9 |
| 59.39 | 21 |

Record 3
Calculated X-ray diffraction stick pattern of MgV3CoSn2P6O24 for a wavelength of 1.5418 Å, from the PBE+U geometry in the Materials Project.

abc: 8.638 8.666 9.226
angles: 62.49 62.23 60.25
Sites, in units of the cell vectors:
1 Mg 0.000 0.000 0.000
2 V 0.108 0.117 0.656
3 V 0.398 0.402 0.797
4 V 0.596 0.605 0.197
5 Co 0.886 0.897 0.325
6 Sn 0.259 0.256 0.214
7 Sn 0.753 0.769 0.709
8 P 0.209 0.788 0.500
9 P 0.294 0.703 0.004
10 P 0.492 0.220 0.500
11 P 0.702 0.998 0.000
12 P 0.781 0.502 0.498
13 P 0.993 0.302 0.998
14 O 0.021 0.258 0.838
15 O 0.028 0.789 0.499
16 O 0.110 0.740 0.154
17 O 0.159 0.346 0.974
18 O 0.163 0.986 0.503
19 O 0.254 0.642 0.662
20 O 0.259 0.876 0.845
21 O 0.331 0.184 0.501
22 O 0.340 0.519 0.979
23 O 0.369 0.765 0.331
24 O 0.439 0.252 0.669
25 O 0.460 0.682 0.044
26 O 0.517 0.161 0.976
27 O 0.528 0.381 0.337
28 O 0.638 0.438 0.665
29 O 0.672 0.039 0.494
30 O 0.690 0.814 0.029
31 O 0.737 0.544 0.334
32 O 0.738 0.995 0.151
33 O 0.779 0.684 0.495
34 O 0.811 0.468 0.030
35 O 0.877 0.027 0.839
36 O 0.977 0.348 0.488
37 O 0.992 0.119 0.149

Top 10 peaks for 2θ = 10–80°, sorted by position:
| 2θ (°) | I_rel |
| --- | --- |
| 20.47 | 100 |
| 20.56 | 48 |
| 23.42 | 30 |
| 23.55 | 61 |
| 24.99 | 20 |
| 30.76 | 36 |
| 30.94 | 71 |
| 35.96 | 35 |
| 44.58 | 22 |
| 48.20 | 19 |

Record 4
Calculated X-ray diffraction stick pattern of Li7Cr3CoP6O24 for a wavelength of 1.5418 Å, from the PBE+U geometry in the Materials Project.

abc: 8.642 8.642 8.642
angles: 61.19 61.19 61.19
Sites, in units of the cell vectors:
1 Li 0.000 0.000 0.000
2 Li 0.215 0.669 0.850
3 Li 0.261 0.703 0.451
4 Li 0.451 0.261 0.703
5 Li 0.669 0.850 0.215
6 Li 0.703 0.451 0.261
7 Li 0.850 0.215 0.669
8 Cr 0.147 0.147 0.147
9 Cr 0.364 0.364 0.364
10 Cr 0.649 0.649 0.649
11 Co 0.859 0.859 0.859
12 P 0.052 0.463 0.754
13 P 0.259 0.969 0.547
14 P 0.463 0.754 0.052
15 P 0.547 0.259 0.969
16 P 0.754 0.052 0.463
17 P 0.969 0.547 0.259
18 O 0.038 0.632 0.787
19 O 0.063 0.279 0.921
20 O 0.083 0.972 0.726
21 O 0.128 0.504 0.317
22 O 0.224 0.979 0.380
23 O 0.248 0.434 0.596
24 O 0.279 0.921 0.063
25 O 0.317 0.128 0.504
26 O 0.380 0.224 0.979
27 O 0.404 0.767 0.594
28 O 0.434 0.596 0.248
29 O 0.504 0.317 0.128
30 O 0.504 0.695 0.890
31 O 0.594 0.404 0.767
32 O 0.596 0.248 0.434
33 O 0.632 0.787 0.038
34 O 0.695 0.890 0.504
35 O 0.726 0.083 0.972
36 O 0.767 0.594 0.404
37 O 0.787 0.038 0.632
38 O 0.890 0.504 0.695
39 O 0.921 0.063 0.279
40 O 0.972 0.726 0.083
41 O 0.979 0.380 0.224

Top 10 peaks for 2θ = 10–80°, sorted by position:
| 2θ (°) | I_rel |
| --- | --- |
| 14.37 | 20 |
| 20.19 | 24 |
| 20.56 | 54 |
| 23.90 | 100 |
| 28.97 | 38 |
| 31.36 | 20 |
| 32.72 | 35 |
| 35.35 | 21 |
| 46.86 | 16 |
| 55.26 | 16 |

Record 5
Calculated X-ray diffraction stick pattern of MgFe6O10F2 for a wavelength of 1.5418 Å, from the PBE+U geometry in the Materials Project.

abc: 5.130 5.714 7.518
angles: 82.81 84.47 81.64
Sites, in units of the cell vectors:
1 Mg 0.000 0.000 0.000
2 Fe 0.065 0.028 0.516
3 Fe 0.082 0.399 0.188
4 Fe 0.503 0.172 0.820
5 Fe 0.503 0.485 0.495
6 Fe 0.515 0.837 0.171
7 Fe 0.938 0.603 0.796
8 O 0.145 0.321 0.930
9 O 0.180 0.032 0.249
10 O 0.181 0.691 0.589
11 O 0.342 0.192 0.594
12 O 0.367 0.545 0.256
13 O 0.628 0.125 0.057
14 O 0.654 0.462 0.729
15 O 0.846 0.968 0.747
16 O 0.852 0.314 0.403
17 O 0.860 0.673 0.064
18 F 0.351 0.844 0.924
19 F 0.664 0.800 0.406

Top 10 peaks for 2θ = 10–80°, sorted by position:
| 2θ (°) | I_rel |
| --- | --- |
| 23.49 | 100 |
| 27.81 | 97 |
| 35.09 | 25 |
| 35.37 | 52 |
| 35.49 | 25 |
| 36.24 | 26 |
| 38.18 | 19 |
| 39.18 | 20 |
| 54.49 | 19 |
| 63.00 | 19 |

Record 6
Calculated X-ray diffraction stick pattern of MnN2F5 for a wavelength of 1.5418 Å, from the PBE+U geometry in the Materials Project.

abc: 6.268 7.514 11.221
angles: 90.00 90.00 90.00
Sites, in units of the cell vectors:
1 Mn 0.000 0.000 0.000
2 Mn 0.000 0.500 0.000
3 Mn 0.500 0.000 0.500
4 Mn 0.500 0.500 0.500
5 N 0.051 0.250 0.271
6 N 0.099 0.750 0.361
7 N 0.401 0.250 0.861
8 N 0.449 0.750 0.771
9 N 0.551 0.250 0.229
10 N 0.599 0.750 0.139
11 N 0.901 0.250 0.639
12 N 0.949 0.750 0.729
13 F 0.067 0.750 0.987
14 F 0.230 0.607 0.332
15 F 0.230 0.893 0.332
16 F 0.239 0.025 0.087
17 F 0.239 0.475 0.087
18 F 0.261 0.525 0.587
19 F 0.261 0.975 0.587
20 F 0.270 0.107 0.832
21 F 0.270 0.393 0.832
22 F 0.433 0.250 0.487
23 F 0.567 0.750 0.513
24 F 0.730 0.607 0.168
25 F 0.730 0.893 0.168
26 F 0.739 0.025 0.413
27 F 0.739 0.475 0.413
28 F 0.761 0.525 0.913
29 F 0.761 0.975 0.913
30 F 0.770 0.107 0.668
31 F 0.770 0.393 0.668
32 F 0.933 0.250 0.013

Top 10 peaks for 2θ = 10–80°, sorted by position:
| 2θ (°) | I_rel |
| --- | --- |
| 15.80 | 40 |
| 16.20 | 100 |
| 23.68 | 14 |
| 27.77 | 55 |
| 28.59 | 25 |
| 28.82 | 27 |
| 30.26 | 15 |
| 32.73 | 14 |
| 35.04 | 16 |
| 43.29 | 22 |

Record 7
Calculated X-ray diffraction stick pattern of LiCr4Hg2O8 for a wavelength of 1.5418 Å, from the PBE+U geometry in the Materials Project.

abc: 6.485 6.485 6.485
angles: 60.00 60.00 60.00
Sites, in units of the cell vectors:
1 Li 0.000 0.000 0.000
2 Cr 0.133 0.133 0.133
3 Cr 0.133 0.133 0.600
4 Cr 0.133 0.600 0.133
5 Cr 0.600 0.133 0.133
6 Hg 0.500 0.500 0.500
7 Hg 0.750 0.750 0.750
8 O 0.320 0.893 0.893
9 O 0.351 0.351 0.351
10 O 0.351 0.351 0.946
11 O 0.351 0.946 0.351
12 O 0.893 0.320 0.893
13 O 0.893 0.893 0.320
14 O 0.893 0.893 0.893
15 O 0.946 0.351 0.351

Top 10 peaks for 2θ = 10–80°, sorted by position:
| 2θ (°) | I_rel |
| --- | --- |
| 16.74 | 20 |
| 27.51 | 93 |
| 32.37 | 100 |
| 42.99 | 15 |
| 48.63 | 37 |
| 51.79 | 42 |
| 56.78 | 34 |
| 64.23 | 15 |
| 66.90 | 12 |
| 77.95 | 22 |

Record 8
Calculated X-ray diffraction stick pattern of LiMnF4 for a wavelength of 1.5418 Å, from the PBE+U geometry in the Materials Project.

abc: 5.707 5.707 5.707
angles: 112.39 112.39 103.77
Sites, in units of the cell vectors:
1 Li 0.375 0.625 0.750
2 Li 0.625 0.375 0.250
3 Mn 0.125 0.875 0.250
4 Mn 0.875 0.125 0.750
5 F 0.179 0.220 0.541
6 F 0.179 0.637 0.959
7 F 0.220 0.179 0.041
8 F 0.363 0.821 0.541
9 F 0.637 0.179 0.459
10 F 0.780 0.821 0.959
11 F 0.821 0.363 0.041
12 F 0.821 0.780 0.459

Top 10 peaks for 2θ = 10–80°, sorted by position:
| 2θ (°) | I_rel |
| --- | --- |
| 18.81 | 100 |
| 28.10 | 41 |
| 32.30 | 26 |
| 38.16 | 17 |
| 40.97 | 37 |
| 44.70 | 29 |
| 52.45 | 32 |
| 53.64 | 11 |
| 58.10 | 14 |
| 68.06 | 12 |

Record 9
Calculated X-ray diffraction stick pattern of Zn3Cr2O7 for a wavelength of 1.5418 Å, from the PBE+U geometry in the Materials Project.

abc: 9.627 9.627 5.121
angles: 90.00 90.00 31.15
Sites, in units of the cell vectors:
1 Zn 0.077 0.521 0.431
2 Zn 0.239 0.761 0.500
3 Zn 0.479 0.923 0.431
4 Zn 0.521 0.077 0.931
5 Zn 0.761 0.239 0.000
6 Zn 0.923 0.479 0.931
7 Cr 0.146 0.650 0.967
8 Cr 0.350 0.854 0.967
9 Cr 0.650 0.146 0.467
10 Cr 0.854 0.350 0.467
11 O 0.046 0.211 0.151
12 O 0.138 0.862 0.893
13 O 0.148 0.447 0.042
14 O 0.211 0.046 0.651
15 O 0.344 0.503 0.283
16 O 0.447 0.148 0.542
17 O 0.497 0.656 0.283
18 O 0.503 0.344 0.783
19 O 0.553 0.852 0.042
20 O 0.656 0.497 0.783
21 O 0.789 0.954 0.151
22 O 0.852 0.553 0.542
23 O 0.862 0.138 0.393
24 O 0.954 0.789 0.651

Top 10 peaks for 2θ = 10–80°, sorted by position:
| 2θ (°) | I_rel |
| --- | --- |
| 34.53 | 100 |
| 34.70 | 28 |
| 35.05 | 27 |
| 49.12 | 16 |
| 50.15 | 23 |
| 61.54 | 12 |
| 61.76 | 12 |
| 62.09 | 24 |
| 62.53 | 19 |
| 72.83 | 12 |

What did the fourth record say?
Calculated X-ray diffraction stick pattern of Li7Cr3CoP6O24 for a wavelength of 1.5418 Å, from the PBE+U geometry in the Materials Project.

abc: 8.642 8.642 8.642
angles: 61.19 61.19 61.19
Sites, in units of the cell vectors:
1 Li 0.000 0.000 0.000
2 Li 0.215 0.669 0.850
3 Li 0.261 0.703 0.451
4 Li 0.451 0.261 0.703
5 Li 0.669 0.850 0.215
6 Li 0.703 0.451 0.261
7 Li 0.850 0.215 0.669
8 Cr 0.147 0.147 0.147
9 Cr 0.364 0.364 0.364
10 Cr 0.649 0.649 0.649
11 Co 0.859 0.859 0.859
12 P 0.052 0.463 0.754
13 P 0.259 0.969 0.547
14 P 0.463 0.754 0.052
15 P 0.547 0.259 0.969
16 P 0.754 0.052 0.463
17 P 0.969 0.547 0.259
18 O 0.038 0.632 0.787
19 O 0.063 0.279 0.921
20 O 0.083 0.972 0.726
21 O 0.128 0.504 0.317
22 O 0.224 0.979 0.380
23 O 0.248 0.434 0.596
24 O 0.279 0.921 0.063
25 O 0.317 0.128 0.504
26 O 0.380 0.224 0.979
27 O 0.404 0.767 0.594
28 O 0.434 0.596 0.248
29 O 0.504 0.317 0.128
30 O 0.504 0.695 0.890
31 O 0.594 0.404 0.767
32 O 0.596 0.248 0.434
33 O 0.632 0.787 0.038
34 O 0.695 0.890 0.504
35 O 0.726 0.083 0.972
36 O 0.767 0.594 0.404
37 O 0.787 0.038 0.632
38 O 0.890 0.504 0.695
39 O 0.921 0.063 0.279
40 O 0.972 0.726 0.083
41 O 0.979 0.380 0.224

Top 10 peaks for 2θ = 10–80°, sorted by position:
| 2θ (°) | I_rel |
| --- | --- |
| 14.37 | 20 |
| 20.19 | 24 |
| 20.56 | 54 |
| 23.90 | 100 |
| 28.97 | 38 |
| 31.36 | 20 |
| 32.72 | 35 |
| 35.35 | 21 |
| 46.86 | 16 |
| 55.26 | 16 |

What did the fifth record say?
Calculated X-ray diffraction stick pattern of MgFe6O10F2 for a wavelength of 1.5418 Å, from the PBE+U geometry in the Materials Project.

abc: 5.130 5.714 7.518
angles: 82.81 84.47 81.64
Sites, in units of the cell vectors:
1 Mg 0.000 0.000 0.000
2 Fe 0.065 0.028 0.516
3 Fe 0.082 0.399 0.188
4 Fe 0.503 0.172 0.820
5 Fe 0.503 0.485 0.495
6 Fe 0.515 0.837 0.171
7 Fe 0.938 0.603 0.796
8 O 0.145 0.321 0.930
9 O 0.180 0.032 0.249
10 O 0.181 0.691 0.589
11 O 0.342 0.192 0.594
12 O 0.367 0.545 0.256
13 O 0.628 0.125 0.057
14 O 0.654 0.462 0.729
15 O 0.846 0.968 0.747
16 O 0.852 0.314 0.403
17 O 0.860 0.673 0.064
18 F 0.351 0.844 0.924
19 F 0.664 0.800 0.406

Top 10 peaks for 2θ = 10–80°, sorted by position:
| 2θ (°) | I_rel |
| --- | --- |
| 23.49 | 100 |
| 27.81 | 97 |
| 35.09 | 25 |
| 35.37 | 52 |
| 35.49 | 25 |
| 36.24 | 26 |
| 38.18 | 19 |
| 39.18 | 20 |
| 54.49 | 19 |
| 63.00 | 19 |